Record 1
Simulated XRD peak list of Hf5AlFe4 for Cu Kα, 1.54184 Å, from a cell relaxed with PBE.

Structural model:
abc: 3.1645 3.1645 16.1399
angles: 90.00 90.00 90.00
Fractional positions:
Hf1 0.0000 0.0000 0.0000
Hf2 0.0000 0.0000 0.1930
Hf3 0.0000 0.0000 0.3846
Hf4 0.0000 0.0000 0.6154
Hf5 0.0000 0.0000 0.8070
Al1 0.5000 0.5000 0.5000
Fe1 0.5000 0.5000 0.0972
Fe2 0.5000 0.5000 0.2934
Fe3 0.5000 0.5000 0.7066
Fe4 0.5000 0.5000 0.9028

Main lines, in order of rising 2θ (15° ≤ 2θ ≤ 90°):
| 2theta | Rel. int. |
| --- | --- |
| 27.6 | 18 |
| 28.2 | 39 |
| 39.9 | 100 |
| 40.3 | 53 |
| 49.6 | 15 |
| 58.3 | 18 |
| 66.0 | 8 |
| 72.2 | 13 |
| 73.0 | 33 |
| 86.0 | 8 |

Record 2
Simulated XRD peak list of Ho3GeBr7 for Cu Kα, 1.54184 Å, from a cell relaxed with PBE.

Structural model:
abc: 8.3238 8.3238 6.7745
angles: 90.00 90.00 120.00
Fractional positions:
Ho1 0.0072 0.5036 0.0000
Ho2 0.4964 0.5036 0.0000
Ho3 0.4964 0.9928 0.0000
Ge1 0.3333 0.6667 0.2485
Br1 0.1758 0.3517 0.7623
Br2 0.1758 0.8242 0.7623
Br3 0.3469 0.1735 0.2188
Br4 0.6483 0.8242 0.7623
Br5 0.6667 0.3333 0.7579
Br6 0.8265 0.1735 0.2188
Br7 0.8265 0.6531 0.2188

Main lines, in order of rising 2θ (15° ≤ 2θ ≤ 90°):
| 2theta | Rel. int. |
| --- | --- |
| 18.0 | 14 |
| 28.0 | 100 |
| 36.4 | 64 |
| 43.5 | 37 |
| 45.6 | 16 |
| 47.5 | 28 |
| 52.6 | 20 |
| 58.0 | 16 |
| 70.5 | 14 |
| 75.2 | 15 |

Record 3
Simulated XRD peak list of Nd2HoEr4Mg for Cu Kα, 1.54184 Å, from a cell relaxed with PBE.

Structural model:
abc: 4.9523 4.9639 10.0922
angles: 90.00 90.00 90.00
Fractional positions:
Nd1 0.0000 0.0000 0.0000
Nd2 0.5000 0.5000 0.5000
Ho1 0.0000 0.0000 0.5000
Er1 0.0000 0.5000 0.2495
Er2 0.0000 0.5000 0.7505
Er3 0.5000 0.0000 0.2497
Er4 0.5000 0.0000 0.7503
Mg1 0.5000 0.5000 0.0000

Main lines, in order of rising 2θ (15° ≤ 2θ ≤ 90°):
| 2theta | Rel. int. |
| --- | --- |
| 31.1 | 100 |
| 35.6 | 17 |
| 36.2 | 33 |
| 51.7 | 24 |
| 52.2 | 12 |
| 61.1 | 15 |
| 61.9 | 14 |
| 62.0 | 14 |
| 64.8 | 12 |
| 84.4 | 6 |

Record 4
Simulated XRD peak list of Np2BeGaPt6 for Cu Kα, 1.54184 Å, from a cell relaxed with PBE.

Structural model:
abc: 6.4306 6.4306 6.4306
angles: 60.00 60.00 60.00
Fractional positions:
Np1 0.2500 0.2500 0.2500
Np2 0.7500 0.7500 0.7500
Be1 0.0000 0.0000 0.0000
Ga1 0.5000 0.5000 0.5000
Pt1 0.2354 0.2354 0.7646
Pt2 0.2354 0.7646 0.2354
Pt3 0.2354 0.7646 0.7646
Pt4 0.7646 0.2354 0.2354
Pt5 0.7646 0.2354 0.7646
Pt6 0.7646 0.7646 0.2354

Main lines, in order of rising 2θ (15° ≤ 2θ ≤ 90°):
| 2theta | Rel. int. |
| --- | --- |
| 27.7 | 3 |
| 34.2 | 100 |
| 39.6 | 61 |
| 43.4 | 4 |
| 52.3 | 3 |
| 57.3 | 41 |
| 68.4 | 39 |
| 71.9 | 14 |
| 81.3 | 3 |
| 85.4 | 6 |

Record 5
Simulated XRD peak list of RbOs2O7 for Cu Kα, 1.54184 Å, from a cell relaxed with PBE.

Structural model:
abc: 6.0634 6.0634 3.8189
angles: 90.00 90.00 118.70
Fractional positions:
Rb1 0.0000 0.0000 0.0000
Os1 0.3097 0.6903 0.5000
Os2 0.6903 0.3097 0.5000
O1 0.0336 0.3365 0.5000
O2 0.3093 0.6907 0.0000
O3 0.3365 0.0336 0.5000
O4 0.5000 0.5000 0.5000
O5 0.6636 0.9664 0.5000
O6 0.6907 0.3093 0.0000
O7 0.9664 0.6636 0.5000

Main lines, in order of rising 2θ (15° ≤ 2θ ≤ 90°):
| 2theta | Rel. int. |
| --- | --- |
| 17.0 | 38 |
| 23.3 | 44 |
| 28.8 | 41 |
| 28.9 | 100 |
| 29.5 | 72 |
| 41.4 | 32 |
| 47.6 | 18 |
| 51.6 | 22 |
| 52.1 | 32 |
| 57.0 | 23 |

Record 6
Simulated XRD peak list of Pt5Rh3 for Cu Kα, 1.54184 Å, from a cell relaxed with PBE.

Structural model:
abc: 3.9157 3.9157 15.7569
angles: 90.00 90.00 90.00
Fractional positions:
Pt1 0.0000 0.0000 0.0000
Pt2 0.0000 0.0000 0.2499
Pt3 0.0000 0.0000 0.7501
Pt4 0.0000 0.5000 0.1232
Pt5 0.0000 0.5000 0.3768
Pt6 0.5000 0.0000 0.6232
Pt7 0.5000 0.0000 0.8768
Pt8 0.5000 0.5000 0.2501
Pt9 0.5000 0.5000 0.5000
Pt10 0.5000 0.5000 0.7499
Rh1 0.0000 0.0000 0.5000
Rh2 0.0000 0.5000 0.6231
Rh3 0.0000 0.5000 0.8769
Rh4 0.5000 0.0000 0.1231
Rh5 0.5000 0.0000 0.3769
Rh6 0.5000 0.5000 0.0000

Main lines, in order of rising 2θ (15° ≤ 2θ ≤ 90°):
| 2theta | Rel. int. |
| --- | --- |
| 23.4 | 5 |
| 28.4 | 3 |
| 39.8 | 100 |
| 46.1 | 16 |
| 46.4 | 32 |
| 67.4 | 21 |
| 67.7 | 11 |
| 81.1 | 13 |
| 81.5 | 25 |
| 85.8 | 11 |

Record 7
Simulated XRD peak list of PrGe12Ir4 for Cu Kα, 1.54184 Å, from a cell relaxed with PBE.

Structural model:
abc: 7.5334 7.5334 7.5334
angles: 109.47 109.47 109.47
Fractional positions:
Pr1 0.0000 0.0000 0.0000
Ge1 0.1536 0.5029 0.3493
Ge2 0.1536 0.8042 0.6507
Ge3 0.1958 0.3493 0.8464
Ge4 0.3493 0.1536 0.5029
Ge5 0.3493 0.8464 0.1958
Ge6 0.4971 0.6507 0.8464
Ge7 0.5029 0.3493 0.1536
Ge8 0.6507 0.1536 0.8042
Ge9 0.6507 0.8464 0.4971
Ge10 0.8042 0.6507 0.1536
Ge11 0.8464 0.1958 0.3493
Ge12 0.8464 0.4971 0.6507
Ir1 0.0000 0.0000 0.5000
Ir2 0.0000 0.5000 0.0000
Ir3 0.5000 0.0000 0.0000
Ir4 0.5000 0.5000 0.5000

Main lines, in order of rising 2θ (15° ≤ 2θ ≤ 90°):
| 2theta | Rel. int. |
| --- | --- |
| 20.4 | 58 |
| 29.0 | 100 |
| 32.6 | 88 |
| 38.7 | 42 |
| 41.5 | 19 |
| 46.7 | 79 |
| 51.5 | 92 |
| 53.7 | 33 |
| 68.2 | 32 |
| 83.1 | 20 |

Record 8
Simulated XRD peak list of Tl2PdPb2 for Cu Kα, 1.54184 Å, from a cell relaxed with PBE.

Structural model:
abc: 3.4716 3.4716 22.5131
angles: 90.00 90.00 90.00
Fractional positions:
Tl1 0.0000 0.0000 0.1924
Tl2 0.0000 0.0000 0.8076
Tl3 0.5000 0.5000 0.3076
Tl4 0.5000 0.5000 0.6924
Pd1 0.0000 0.0000 0.0000
Pd2 0.5000 0.5000 0.5000
Pb1 0.0000 0.0000 0.4242
Pb2 0.0000 0.0000 0.5758
Pb3 0.5000 0.5000 0.0758
Pb4 0.5000 0.5000 0.9242

Main lines, in order of rising 2θ (15° ≤ 2θ ≤ 90°):
| 2theta | Rel. int. |
| --- | --- |
| 28.3 | 21 |
| 31.8 | 15 |
| 32.6 | 100 |
| 36.6 | 49 |
| 49.3 | 18 |
| 52.7 | 18 |
| 59.7 | 15 |
| 62.9 | 9 |
| 63.4 | 30 |
| 83.7 | 12 |

Question: Number 7 is which compound?
Answer: PrGe12Ir4

Copy entry 6 word for word.
Simulated XRD peak list of Pt5Rh3 for Cu Kα, 1.54184 Å, from a cell relaxed with PBE.

Structural model:
abc: 3.9157 3.9157 15.7569
angles: 90.00 90.00 90.00
Fractional positions:
Pt1 0.0000 0.0000 0.0000
Pt2 0.0000 0.0000 0.2499
Pt3 0.0000 0.0000 0.7501
Pt4 0.0000 0.5000 0.1232
Pt5 0.0000 0.5000 0.3768
Pt6 0.5000 0.0000 0.6232
Pt7 0.5000 0.0000 0.8768
Pt8 0.5000 0.5000 0.2501
Pt9 0.5000 0.5000 0.5000
Pt10 0.5000 0.5000 0.7499
Rh1 0.0000 0.0000 0.5000
Rh2 0.0000 0.5000 0.6231
Rh3 0.0000 0.5000 0.8769
Rh4 0.5000 0.0000 0.1231
Rh5 0.5000 0.0000 0.3769
Rh6 0.5000 0.5000 0.0000

Main lines, in order of rising 2θ (15° ≤ 2θ ≤ 90°):
| 2theta | Rel. int. |
| --- | --- |
| 23.4 | 5 |
| 28.4 | 3 |
| 39.8 | 100 |
| 46.1 | 16 |
| 46.4 | 32 |
| 67.4 | 21 |
| 67.7 | 11 |
| 81.1 | 13 |
| 81.5 | 25 |
| 85.8 | 11 |

Repeat the second record exactly.
Simulated XRD peak list of Ho3GeBr7 for Cu Kα, 1.54184 Å, from a cell relaxed with PBE.

Structural model:
abc: 8.3238 8.3238 6.7745
angles: 90.00 90.00 120.00
Fractional positions:
Ho1 0.0072 0.5036 0.0000
Ho2 0.4964 0.5036 0.0000
Ho3 0.4964 0.9928 0.0000
Ge1 0.3333 0.6667 0.2485
Br1 0.1758 0.3517 0.7623
Br2 0.1758 0.8242 0.7623
Br3 0.3469 0.1735 0.2188
Br4 0.6483 0.8242 0.7623
Br5 0.6667 0.3333 0.7579
Br6 0.8265 0.1735 0.2188
Br7 0.8265 0.6531 0.2188

Main lines, in order of rising 2θ (15° ≤ 2θ ≤ 90°):
| 2theta | Rel. int. |
| --- | --- |
| 18.0 | 14 |
| 28.0 | 100 |
| 36.4 | 64 |
| 43.5 | 37 |
| 45.6 | 16 |
| 47.5 | 28 |
| 52.6 | 20 |
| 58.0 | 16 |
| 70.5 | 14 |
| 75.2 | 15 |